Entry 1:
# SrGa2Cu4
Calculated powder XRD pattern, Cu Kα (λ = 1.5418 Å). Input: a structure optimized by DFT (GGA-PBE).
Intensities are scaled so that the largest is 100.

The 8 most intense peaks (5° ≤ 2θ ≤ 70°), sorted by position:
two_theta	Rel. int.	(hkl)
15.91	16	1 1 0
28.55	10	1 1 2
32.85	18	2 0 2
36.06	91	3 1 0
44.21	100	2 1 3
46.10	15	4 0 0
49.07	12	3 3 0
55.70	11	3 2 3

Structure:
Cell: 7.8764 7.8764 7.5564 Å, 90.00 90.00 90.00°
Space group I4/mcm (No. 140)
Asymmetric unit:
Sr: 0.0000 0.0000 0.2500 x4
Ga: 0.1588 0.3412 0.0000 x8
Cu: 0.1388 0.3612 0.3376 x16



Entry 2:
# H3PbCI3NF3
Calculated powder XRD pattern, Cu Kα (λ = 1.5418 Å). Input: a structure optimized by DFT (GGA-PBE).
Intensities are scaled so that the largest is 100.

The 8 most intense peaks (5° ≤ 2θ ≤ 70°), sorted by position:
two_theta	Rel. int.	(hkl)
13.31	79	0 0 1
13.44	86	1 0 0
13.71	83	0 1 0
23.47	91	1 1 -1
26.81	86	0 0 2
27.08	100	2 0 0
27.62	95	0 2 0
30.21	77	1 0 2

Structure:
Cell: 6.5862 6.4593 6.6506 Å, 90.00 90.34 90.00°
Space group Pm (No. 6)
Asymmetric unit:
H: 0.0000 0.0000 0.0000 x1
H: 0.2183 0.1340 0.9671 x2
Pb: 0.6958 0.5000 0.7089 x1
C: 0.1979 0.0000 0.2536 x1
I: 0.2079 0.5000 0.7984 x1
I: 0.6730 0.5000 0.2652 x1
I: 0.6914 0.0000 0.7883 x1
N: 0.1579 0.0000 0.0337 x1
F: 0.1144 0.1700 0.3341 x2
F: 0.3985 0.0000 0.2861 x1



Entry 3:
# Zr9C2N4
Calculated powder XRD pattern, Cu Kα (λ = 1.5418 Å). Input: a structure optimized by DFT (GGA-PBE).
Intensities are scaled so that the largest is 100.

The 8 most intense peaks (5° ≤ 2θ ≤ 70°), sorted by position:
two_theta	Rel. int.	(hkl)
31.34	16	1 1 0
33.79	22	0 0 6
35.72	100	1 1 3
46.75	20	1 1 6
55.78	20	3 0 0
61.70	19	1 1 9
66.83	17	3 0 6
68.02	14	2 2 3

Structure:
Cell: 5.7090 5.7090 15.9155 Å, 90.00 90.00 120.00°
Space group P-3c1 (No. 165)
Asymmetric unit:
Zr: 0.0000 0.3275 0.2500 x6
Zr: 0.0086 0.3452 0.9163 x12
C: 0.0000 0.0000 0.1604 x4
N: 0.3333 0.6667 0.0057 x4
N: 0.3333 0.6667 0.3286 x4



- What is the formula in the first record?
  SrGa2Cu4